# Li7Mn2Co3O12
Theoretical X-ray diffraction stick pattern, Cu Kα (weighted mean of Kα1 and Kα2). Input: DFT lattice parameters and positions (PBE+U).

Largest 10 diffraction maxima, in order of rising 2θ, 2θ from 5° to 70°:
two_theta  I_rel
9.23  15
12.81  10
18.56  100
36.21  14
36.69  24
43.74  27
44.43  52
58.51  9
63.81  14
64.42  14

Atomic structure:
a = 7.660 Å, b = 7.660 Å, c = 10.170 Å
α = 109.19°, β = 109.19°, γ = 21.55°
Fractional coordinates of all 24 atoms:
1 Li 0.000 0.000 0.000
2 Li 0.163 0.163 0.920
3 Li 0.167 0.167 0.422
4 Li 0.489 0.489 0.227
5 Li 0.511 0.511 0.773
6 Li 0.833 0.833 0.578
7 Li 0.837 0.837 0.080
8 Mn 0.337 0.337 0.835
9 Mn 0.663 0.663 0.165
10 Co 0.000 0.000 0.500
11 Co 0.333 0.333 0.329
12 Co 0.667 0.667 0.671
13 O 0.092 0.092 0.211
14 O 0.092 0.092 0.710
15 O 0.245 0.245 0.140
16 O 0.245 0.245 0.637
17 O 0.407 0.407 0.021
18 O 0.418 0.418 0.520
19 O 0.582 0.582 0.480
20 O 0.593 0.593 0.979
21 O 0.755 0.755 0.363
22 O 0.755 0.755 0.860
23 O 0.908 0.908 0.290
24 O 0.908 0.908 0.789